This entry pairs a crystal structure of Rb4Ce3HgSe8 with its theoretical PXRD pattern. Radiation: λ = 1.5418 Å (Cu Kα). Structure: a DFT-relaxed cell (PBE, Alexandria).
Peak positions follow from Bragg's law for the DFT cell and can differ from measured ones.

Largest 10 diffraction maxima, by angle, 2θ from 10° to 90°:
- 2θ = 11.10°, I = 26
- 2θ = 27.92°, I = 100
- 2θ = 35.42°, I = 11
- 2θ = 38.39°, I = 34
- 2θ = 41.36°, I = 37
- 2θ = 50.65°, I = 19
- 2θ = 57.70°, I = 10
- 2θ = 63.19°, I = 10
- 2θ = 67.38°, I = 18
- 2θ = 73.45°, I = 10

Lattice parameters (Å, degrees): 9.430 9.430 9.430 55.16 55.16 55.16
Positions (direct):
Rb 0.000 0.000 0.000
Rb 0.000 0.500 0.500
Rb 0.500 0.000 0.500
Rb 0.500 0.500 0.000
Ce 0.000 0.000 0.500
Ce 0.000 0.500 0.000
Ce 0.500 0.000 0.000
Hg 0.500 0.500 0.500
Se 0.224 0.737 0.737
Se 0.233 0.233 0.233
Se 0.263 0.263 0.776
Se 0.263 0.776 0.263
Se 0.737 0.224 0.737
Se 0.737 0.737 0.224
Se 0.767 0.767 0.767
Se 0.776 0.263 0.263